The following is a theoretical powder X-ray diffraction pattern of Li4ZrF8. It was derived from the PBE geometry in the Materials Project, using Cu Kα X-rays.
Lines closer than 0.1° are merged.

Largest 10 diffraction maxima, sorted by position, 10 to 90 degrees two-theta:
(0 1 1), 17.89 deg, I 100; (0 2 0), 18.20 deg, I 32; (1 1 1), 20.10 deg, I 52; (2 1 0), 20.39 deg, I 54; (2 0 1), 23.93 deg, I 31; (2 2 1), 30.24 deg, I 24; (2 4 0), 41.44 deg, I 36; (3 1 2), 43.00 deg, I 79; (3 2 2), 46.07 deg, I 29; (0 5 1), 49.36 deg, I 29

Cell and atoms:
a b c (Å): 9.738 9.747 5.758
angles (deg): 90.00 90.00 90.00
Space group Pnma (No. 62)
One atom of each set of equivalent atoms:
Li 0.103 0.081 0.130
Li 0.131 0.058 0.619
Zr 0.134 0.750 0.370
F 0.020 0.616 0.147
F 0.022 0.621 0.602
F 0.212 0.250 0.119
F 0.214 0.250 0.620
F 0.234 0.537 0.372